# 1
Diffraction record for CrNi2W. The powder diffractogram is calculated, not measured: it uses a GGA-PBE-relaxed structure and Cu Kα.

The 10 most intense peaks (10° ≤ 2θ ≤ 90°), low angle first:
| 2θ (°) | I/Imax |
| --- | --- |
| 26.35 | 26 |
| 30.52 | 16 |
| 43.71 | 100 |
| 51.76 | 13 |
| 54.24 | 5 |
| 63.53 | 16 |
| 70.01 | 6 |
| 72.11 | 6 |
| 80.29 | 32 |
| 86.29 | 5 |

Cell and atoms:
Lattice parameters (Å, degrees): 4.142 4.142 4.142 60.00 60.00 60.00
Atoms (fractional coordinates):
Cr (0.000, 0.000, 0.000)
Ni (0.500, 0.500, 0.500)
Ni (0.750, 0.750, 0.750)
W (0.250, 0.250, 0.250)

# 2
Diffraction record for CrNi4W. The powder diffractogram is calculated, not measured: it uses a GGA-PBE-relaxed structure and Cu Kα.

The 10 most intense peaks (10° ≤ 2θ ≤ 90°), low angle first:
| 2θ (°) | I/Imax |
| --- | --- |
| 15.05 | 18 |
| 27.10 | 28 |
| 29.29 | 16 |
| 30.57 | 16 |
| 38.07 | 18 |
| 43.91 | 100 |
| 44.34 | 90 |
| 45.74 | 44 |
| 46.27 | 47 |
| 67.09 | 29 |

Cell and atoms:
Lattice parameters (Å, degrees): 6.060 6.060 3.968 90.00 90.00 103.72
Atoms (fractional coordinates):
Cr (0.061, 0.939, 0.750)
Cr (0.939, 0.061, 0.250)
Ni (0.010, 0.656, 0.250)
Ni (0.254, 0.390, 0.250)
Ni (0.344, 0.990, 0.250)
Ni (0.390, 0.254, 0.750)
Ni (0.610, 0.746, 0.250)
Ni (0.656, 0.010, 0.750)
Ni (0.746, 0.610, 0.750)
Ni (0.990, 0.344, 0.750)
W (0.327, 0.673, 0.750)
W (0.673, 0.327, 0.250)

# 3
Diffraction record for ZnCr4Ni15. The powder diffractogram is calculated, not measured: it uses a GGA-PBE-relaxed structure and Cu Kα.

The 3 most intense peaks (10° ≤ 2θ ≤ 90°), low angle first:
| 2θ (°) | I/Imax |
| --- | --- |
| 44.24 | 100 |
| 51.55 | 46 |
| 75.89 | 26 |

Cell and atoms:
Lattice parameters (Å, degrees): 3.548 3.548 17.713 90.00 90.00 90.00
Atoms (fractional coordinates):
Zn (0.000, 0.000, 0.000)
Cr (0.000, 0.000, 0.199)
Cr (0.000, 0.000, 0.401)
Cr (0.000, 0.000, 0.599)
Cr (0.000, 0.000, 0.801)
Ni (0.000, 0.500, 0.103)
Ni (0.000, 0.500, 0.300)
Ni (0.000, 0.500, 0.500)
Ni (0.000, 0.500, 0.700)
Ni (0.000, 0.500, 0.897)
Ni (0.500, 0.000, 0.103)
Ni (0.500, 0.000, 0.300)
Ni (0.500, 0.000, 0.500)
Ni (0.500, 0.000, 0.700)
Ni (0.500, 0.000, 0.897)
Ni (0.500, 0.500, 0.000)
Ni (0.500, 0.500, 0.201)
Ni (0.500, 0.500, 0.400)
Ni (0.500, 0.500, 0.600)
Ni (0.500, 0.500, 0.799)

# 4
Diffraction record for NpCr2. The powder diffractogram is calculated, not measured: it uses a GGA-PBE-relaxed structure and Cu Kα.

The 10 most intense peaks (10° ≤ 2θ ≤ 90°), low angle first:
| 2θ (°) | I/Imax |
| --- | --- |
| 21.77 | 45 |
| 35.92 | 90 |
| 42.39 | 100 |
| 44.37 | 7 |
| 56.74 | 12 |
| 64.56 | 34 |
| 69.00 | 31 |
| 76.14 | 21 |
| 80.32 | 10 |
| 87.17 | 16 |

Cell and atoms:
Lattice parameters (Å, degrees): 5.001 5.001 5.001 60.00 60.00 60.00
Atoms (fractional coordinates):
Np (0.125, 0.125, 0.125)
Np (0.875, 0.875, 0.875)
Cr (0.000, 0.500, 0.500)
Cr (0.500, 0.000, 0.500)
Cr (0.500, 0.500, 0.000)
Cr (0.500, 0.500, 0.500)